Diffraction record for Cs2ScICl6. The powder diffraction line list is simulated, not measured: it uses the GGA-PBE geometry in Alexandria and Cu Kα X-rays.

Most intense lines, 15° ≤ 2θ ≤ 90°, by intensity:
two_theta, I_rel, h k l
22.6, 100, 1 1 2
29.4, 69, 2 2 0
20.7, 66, 2 0 0
37.4, 42, 3 1 2
27.0, 38, 2 0 2
46.1, 37, 2 2 4
34.7, 25, 0 0 4
40.7, 23, 2 0 4
42.0, 21, 4 0 0
47.3, 21, 4 2 0

abc: 8.596 8.596 10.334
angles: 90.00 90.00 90.00
Space group I4/mmm (No. 139)
Unique sites:
Cs (0.000, 0.500, 0.250)
Sc (0.000, 0.000, 0.000)
I (0.000, 0.000, 0.500)
Cl (0.000, 0.000, 0.254)
Cl (0.202, 0.202, 0.000)